# CeSe2
Calculated powder diffractogram, Cu Kα. Input: a crystal structure in the Materials Project, relaxed with PBE.
Peak positions follow from Bragg's law for the DFT cell and can differ from measured ones.

Structure:
```
data_CeSe2
_space_group_name_H-M_alt 'I -4 2 d'
_space_group_IT_number 122
_space_group_name_Hall 'I -4 2bw'
_cell_length_a 6.7010
_cell_length_b 6.7010
_cell_length_c 11.3476
_cell_angle_alpha 90.00
_cell_angle_beta 90.00
_cell_angle_gamma 90.00
loop_
_atom_site_label
_atom_site_type_symbol
_atom_site_fract_x
_atom_site_fract_y
_atom_site_fract_z
_atom_site_occupancy
Ce1 Ce 0.0000 0.0000 0.0000 1
Se1 Se 0.2432 0.7500 0.1250 1
```

Main lines, by intensity (10° ≤ 2θ ≤ 90°):
hkl 1 1 2, 2θ 24.48, d 3.637, intensity 100
hkl 1 0 1, 2θ 15.36, d 5.770, intensity 69
hkl 2 0 4, 2θ 41.72, d 2.165, intensity 48
hkl 3 1 2, 2θ 45.70, d 1.985, intensity 37
hkl 2 2 0, 2θ 37.98, d 2.369, intensity 31
hkl 2 1 1, 2θ 30.86, d 2.897, intensity 22
hkl 4 2 4, 2θ 71.16, d 1.325, intensity 19
hkl 1 0 3, 2θ 27.07, d 3.294, intensity 16
hkl 2 1 3, 2θ 38.32, d 2.349, intensity 14
hkl 1 1 6, 2θ 52.07, d 1.757, intensity 12



# SiO2
Calculated powder diffractogram, Cu Kα. Input: a crystal structure in the Materials Project, relaxed with PBE.
Peak positions follow from Bragg's law for the DFT cell and can differ from measured ones.

Structure:
```
data_SiO2
_space_group_name_H-M_alt 'P 43 21 2'
_space_group_IT_number 96
_space_group_name_Hall 'P 4nw 2abw'
_cell_length_a 9.8705
_cell_length_b 9.8705
_cell_length_c 9.8452
_cell_angle_alpha 90.00
_cell_angle_beta 90.00
_cell_angle_gamma 90.00
loop_
_atom_site_label
_atom_site_type_symbol
_atom_site_fract_x
_atom_site_fract_y
_atom_site_fract_z
_atom_site_occupancy
Si1 Si 0.0043 0.3731 0.1240 1
Si2 Si 0.2400 0.7600 0.7500 1
O1 O 0.0159 0.4774 0.9951 1
O2 O 0.1135 0.7427 0.6439 1
O3 O 0.1367 0.2745 0.1111 1
```

Main lines, by intensity (10° ≤ 2θ ≤ 90°):
hkl 1 0 1, 2θ 12.69, d 6.973, intensity 100
hkl 3 2 1, 2θ 34.01, d 2.636, intensity 13
hkl 2 1 1, 2θ 22.08, d 4.026, intensity 12
hkl 2 0 2, 2θ 25.55, d 3.487, intensity 10
hkl 3 1 4, 2θ 46.97, d 1.934, intensity 4
hkl 2 2 4, 2θ 45.03, d 2.013, intensity 3
hkl 5 3 4, 2θ 67.10, d 1.395, intensity 3
hkl 4 4 4, 2θ 65.58, d 1.423, intensity 2
hkl 1 0 3, 2θ 28.62, d 3.119, intensity 2
hkl 7 3 2, 2θ 75.93, d 1.253, intensity 2



# NaNb6O16
Calculated powder diffractogram, Cu Kα. Input: a crystal structure in the Materials Project, relaxed with PBE.
Peak positions follow from Bragg's law for the DFT cell and can differ from measured ones.

Structure:
```
data_NaNb6O16
_space_group_name_H-M_alt 'A m m 2'
_space_group_IT_number 38
_space_group_name_Hall 'A 2 -2'
_cell_length_a 3.9315
_cell_length_b 10.5263
_cell_length_c 15.0723
_cell_angle_alpha 90.00
_cell_angle_beta 90.00
_cell_angle_gamma 90.00
loop_
_atom_site_label
_atom_site_type_symbol
_atom_site_fract_x
_atom_site_fract_y
_atom_site_fract_z
_atom_site_occupancy
Na1 Na 0.0000 0.0000 0.0000 1
Nb1 Nb 0.5000 0.0000 0.5938 1
Nb2 Nb 0.5000 0.0000 0.8081 1
Nb3 Nb 0.5000 0.1799 0.1579 1
Nb4 Nb 0.5000 0.1860 0.4108 1
O1 O 0.0000 0.0000 0.5941 1
O2 O 0.0000 0.0000 0.8205 1
O3 O 0.0000 0.1771 0.1416 1
O4 O 0.0000 0.1776 0.4071 1
O5 O 0.5000 0.0000 0.1134 1
O6 O 0.5000 0.0000 0.4566 1
O7 O 0.5000 0.1224 0.7068 1
O8 O 0.5000 0.1321 0.9074 1
O9 O 0.5000 0.1491 0.2817 1
O10 O 0.5000 0.1948 0.5508 1
```

Main lines, by intensity (10° ≤ 2θ ≤ 90°):
hkl 1 0 0, 2θ 22.62, d 3.931, intensity 100
hkl 0 3 1, 2θ 26.07, d 3.417, intensity 69
hkl 0 2 4, 2θ 29.15, d 3.064, intensity 41
hkl 0 0 4, 2θ 23.61, d 3.768, intensity 31
hkl 2 0 0, 2θ 46.19, d 1.966, intensity 29
hkl 1 3 1, 2θ 34.78, d 2.579, intensity 29
hkl 1 2 4, 2θ 37.21, d 2.417, intensity 20
hkl 0 1 5, 2θ 30.85, d 2.899, intensity 18
hkl 2 3 1, 2θ 53.80, d 1.704, intensity 17
hkl 0 1 1, 2θ 10.25, d 8.630, intensity 16



# Li5Cu3F14
Calculated powder diffractogram, Cu Kα. Input: a crystal structure in the Materials Project, relaxed with PBE.
Peak positions follow from Bragg's law for the DFT cell and can differ from measured ones.

Structure:
```
data_Li5Cu3F14
_space_group_name_H-M_alt 'P 4/m n c'
_space_group_IT_number 128
_space_group_name_Hall '-P 4 2n'
_cell_length_a 6.9658
_cell_length_b 6.9658
_cell_length_c 9.6380
_cell_angle_alpha 90.00
_cell_angle_beta 90.00
_cell_angle_gamma 90.00
loop_
_atom_site_label
_atom_site_type_symbol
_atom_site_fract_x
_atom_site_fract_y
_atom_site_fract_z
_atom_site_occupancy
Li1 Li 0.0000 0.0000 0.0000 1
Li2 Li 0.2297 0.2703 0.2500 1
Cu1 Cu 0.0000 0.0000 0.5000 1
Cu2 Cu 0.0000 0.5000 0.0000 1
F1 F 0.0000 0.0000 0.3059 1
F2 F 0.0361 0.6992 0.1369 1
F3 F 0.1040 0.2480 0.5000 1
```

Main lines, by intensity (10° ≤ 2θ ≤ 90°):
hkl 0 0 2, 2θ 18.41, d 4.819, intensity 100
hkl 2 0 0, 2θ 25.58, d 3.483, intensity 86
hkl 1 0 1, 2θ 15.70, d 5.646, intensity 69
hkl 2 0 2, 2θ 31.70, d 2.823, intensity 64
hkl 2 1 1, 2θ 30.15, d 2.964, intensity 53
hkl 2 2 4, 2θ 53.18, d 1.722, intensity 48
hkl 4 2 2, 2θ 62.68, d 1.482, intensity 38
hkl 1 1 2, 2θ 25.87, d 3.445, intensity 28
hkl 4 0 0, 2θ 52.55, d 1.741, intensity 28
hkl 1 0 3, 2θ 30.65, d 2.917, intensity 27



# InBi
Calculated powder diffractogram, Cu Kα. Input: a crystal structure in the Materials Project, relaxed with PBE.
Peak positions follow from Bragg's law for the DFT cell and can differ from measured ones.

Structure:
```
data_InBi
_space_group_name_H-M_alt 'P 4/n m m'
_space_group_IT_number 129
_cell_length_a 4.8588
_cell_length_b 4.8588
_cell_length_c 5.1754
_cell_angle_alpha 90.00
_cell_angle_beta 90.00
_cell_angle_gamma 90.00
loop_
_space_group_symop_operation_xyz
'x,y,z'
'-x,-y,-z'
'-y+1/2,x,z'
'y+1/2,-x,-z'
'-x+1/2,-y+1/2,z'
'x+1/2,y+1/2,-z'
'y,-x+1/2,z'
'-y,x+1/2,-z'
'x+1/2,-y,-z'
'-x+1/2,y,z'
'-y,-x,-z'
'y,x,z'
'-x,y+1/2,-z'
'x,-y+1/2,z'
'y+1/2,x+1/2,-z'
'-y+1/2,-x+1/2,z'
loop_
_atom_site_label
_atom_site_type_symbol
_atom_site_fract_x
_atom_site_fract_y
_atom_site_fract_z
_atom_site_occupancy
In1 In 0.2500 0.2500 0.0049 1
Bi1 Bi 0.2500 0.7500 0.5000 1
```

Main lines, by intensity (10° ≤ 2θ ≤ 90°):
hkl 1 1 1, 2θ 31.25, d 2.862, intensity 100
hkl 2 0 0, 2θ 37.00, d 2.429, intensity 32
hkl 3 1 1, 2θ 63.12, d 1.473, intensity 27
hkl 2 0 2, 2θ 51.60, d 1.771, intensity 25
hkl 0 0 2, 2θ 34.66, d 2.588, intensity 19
hkl 1 1 3, 2θ 60.01, d 1.542, intensity 16
hkl 3 1 3, 2θ 84.43, d 1.147, intensity 12
hkl 2 2 2, 2θ 65.18, d 1.431, intensity 12
hkl 2 2 0, 2θ 53.33, d 1.718, intensity 11
hkl 0 0 1, 2θ 17.13, d 5.175, intensity 7